Record 1
This entry pairs a crystal structure of MnSiB with its theoretical powder diffraction line list. Radiation: Cu Kα. Structure: the PBE geometry in Alexandria.
No peak broadening, texture or thermal motion is included.

Cell and atoms:
a b c (Å): 3.7830 2.7939 5.5266
angles (deg): 90.00 98.94 90.00
Space group P2_1/m (No. 11)
Inequivalent atoms, fractional coordinates:
Mn: 0.1628 0.2500 0.1895 x2
Si: 0.2829 0.2500 0.6300 x2
B: 0.3611 0.7500 0.9620 x2

Main lines, by angle (10° ≤ 2θ ≤ 80°):
d (Å)	2theta	I/Imax	h k l
3.335	26.7	32.0	1 0 -1
2.487	36.1	31.1	0 1 1
2.238	40.3	100.0	1 1 0
2.142	42.2	24.5	1 1 -1
2.057	44.0	54.1	1 0 2
1.952	46.5	65.3	0 1 2
1.815	50.3	29.1	1 1 -2
1.746	52.4	25.8	1 0 -3



Record 2
This entry pairs a crystal structure of AcY2TcN4 with its theoretical powder diffraction line list. Radiation: Cu Kα. Structure: the PBE geometry in Alexandria.
No peak broadening, texture or thermal motion is included.

Cell and atoms:
a b c (Å): 3.5373 11.9754 11.7630
angles (deg): 90.00 90.00 90.00
Space group Cmcm (No. 63)
Inequivalent atoms, fractional coordinates:
Ac: 0.0000 0.1100 0.2500 x4
Y: 0.0000 0.3683 0.0408 x8
Tc: 0.0000 0.1524 0.7500 x4
N: 0.0000 0.0000 0.0000 x4
N: 0.0000 0.2620 0.6226 x8
N: 0.0000 0.4254 0.2500 x4

Main lines, by angle (10° ≤ 2θ ≤ 80°):
d (Å)	2theta	I/Imax	h k l
5.881	15.1	23.7	0 0 2
3.280	27.2	25.8	0 2 3
2.994	29.8	34.3	0 4 0
2.939	30.4	100.0	0 0 4
2.583	34.7	26.1	1 3 1
2.414	37.2	49.8	1 3 2
2.098	43.1	21.3	0 4 4
1.879	48.4	17.1	1 5 2



Record 3
This entry pairs a crystal structure of Rb3SnF7 with its theoretical powder diffraction line list. Radiation: Cu Kα. Structure: the PBE geometry in Alexandria.
No peak broadening, texture or thermal motion is included.

Cell and atoms:
a b c (Å): 9.1725 8.8345 6.9307
angles (deg): 90.00 128.23 90.00
Space group Cm (No. 8)
Inequivalent atoms, fractional coordinates:
Rb: 0.0000 0.0000 0.0000 x2
Rb: 0.0035 0.2615 0.5542 x4
Sn: 0.0424 0.5000 0.1038 x2
F: 0.1087 0.2770 0.2372 x4
F: 0.2014 0.5000 0.9932 x2
F: 0.2987 0.5000 0.4748 x2
F: 0.3608 0.1429 0.8077 x4
F: 0.3788 0.0000 0.2089 x2

Main lines, by angle (10° ≤ 2θ ≤ 80°):
d (Å)	2theta	I/Imax	h k l
3.603	24.7	47.8	2 0 0
3.430	26.0	100.0	0 2 1
3.414	26.1	47.5	2 0 -2
3.179	28.1	57.2	2 2 -1
2.723	32.9	19.7	0 0 2
2.290	39.4	27.0	4 0 -2
2.208	40.9	22.8	0 4 0
2.107	42.9	30.7	2 2 1



Record 4
This entry pairs a crystal structure of Na6Hg3Bi with its theoretical powder diffraction line list. Radiation: Cu Kα. Structure: the PBE geometry in Alexandria.
No peak broadening, texture or thermal motion is included.

Cell and atoms:
a b c (Å): 9.1058 5.4048 12.1535
angles (deg): 90.00 111.74 90.00
Space group P2_1/m (No. 11)
Inequivalent atoms, fractional coordinates:
Na: 0.0035 0.2500 0.1668 x2
Na: 0.1497 0.7500 0.6056 x2
Na: 0.1982 0.2500 0.9748 x2
Na: 0.3800 0.7500 0.4237 x2
Na: 0.3940 0.2500 0.7788 x2
Na: 0.4072 0.2500 0.2611 x2
Hg: 0.0066 0.2500 0.6806 x2
Hg: 0.2245 0.2500 0.4687 x2
Hg: 0.4015 0.7500 0.9346 x2
Bi: 0.2088 0.7500 0.1407 x2

Main lines, by angle (10° ≤ 2θ ≤ 80°):
d (Å)	2theta	I/Imax	h k l
5.809	15.3	41.5	1 0 1
3.958	22.5	100.0	1 1 1
3.536	25.2	46.0	2 0 -3
2.702	33.2	43.5	0 2 0
2.647	33.9	62.4	1 1 -4
2.627	34.1	64.8	3 1 -2
2.560	35.1	45.7	2 1 2
2.147	42.1	25.0	2 2 -3



Record 5
This entry pairs a crystal structure of Na3Mg2Tl7 with its theoretical powder diffraction line list. Radiation: Cu Kα. Structure: the PBE geometry in Alexandria.
No peak broadening, texture or thermal motion is included.

Cell and atoms:
a b c (Å): 5.5448 3.6157 17.5568
angles (deg): 90.00 98.14 90.00
Space group P2/m (No. 10)
Inequivalent atoms, fractional coordinates:
Na: 0.0000 0.0000 0.0000 x1
Na: 0.3099 0.5000 0.6273 x2
Mg: 0.1499 0.0000 0.2875 x2
Tl: 0.0817 0.5000 0.1458 x2
Tl: 0.2296 0.0000 0.4557 x2
Tl: 0.3960 0.0000 0.8088 x2
Tl: 0.5000 0.5000 0.0000 x1

Main lines, by angle (10° ≤ 2θ ≤ 80°):
d (Å)	2theta	I/Imax	h k l
5.793	15.3	50.0	0 0 3
3.729	23.9	15.8	1 0 3
3.540	25.2	26.3	0 1 1
2.785	32.1	57.7	1 1 2
2.769	32.3	100.0	2 0 -1
2.726	32.8	16.0	1 0 -6
2.178	41.5	14.9	1 1 -6
1.514	61.2	17.6	2 2 -1